Starting from a DFT-relaxed cell (GGA-PBE, the Materials Project), the powder X-ray diffraction pattern of PrAlRh was computed for λ = 1.5418 Å (Cu Kα).
Intensities are scaled so that the largest is 100.

Top 8 peaks for 2θ from 10° to 90°, sorted by position:
hkl, d_spacing, 2θ (°), Rel. int.
1 1 1, 3.358, 26.5, 30
1 1 2, 2.731, 32.8, 61
2 1 1, 2.601, 34.5, 100
1 0 3, 2.534, 35.4, 23
0 1 3, 2.295, 39.3, 23
0 2 0, 2.154, 41.9, 32
3 0 2, 2.051, 44.2, 21
4 0 0, 1.781, 51.3, 18

Atomic structure:
abc: 7.125 4.308 8.133
angles: 90.00 90.00 90.00
Fractional positions:
Pr: 0.035 0.250 0.181
Pr: 0.465 0.750 0.681
Pr: 0.535 0.250 0.319
Pr: 0.965 0.750 0.819
Al: 0.135 0.250 0.561
Al: 0.365 0.750 0.061
Al: 0.635 0.250 0.939
Al: 0.865 0.750 0.439
Rh: 0.225 0.750 0.384
Rh: 0.275 0.250 0.884
Rh: 0.725 0.750 0.116
Rh: 0.775 0.250 0.616